Entry 1:
Diffraction record for LaH3CSO7. The powder X-ray diffraction pattern is simulated, not measured: it uses a structure optimized by DFT (PBE) and Cu Kα (weighted mean of Kα1 and Kα2).

Cell and atoms:
```
LaH3CSO7
1.0
7.1013 0.0000 0.0000
0.0000 7.1013 0.0000
0.0000 0.0000 12.0423
La H C S O
4 12 4 4 28
Cartesian
0.7560 4.5396 0.0000
2.5617 0.7560 3.0106
4.5396 6.3452 9.0318
6.3452 2.5617 6.0212
0.1330 1.1107 11.5480
1.1107 6.9683 8.5374
1.2286 2.8851 9.3835
2.6781 3.2293 9.9038
2.8851 5.8727 6.3729
3.2293 4.4232 6.8932
3.8720 2.6781 0.8720
4.2162 1.2286 0.3517
4.4232 3.8720 3.8826
5.8727 4.2162 3.3623
5.9906 0.1330 2.5162
6.9683 5.9906 5.5268
0.7096 1.0716 0.4435
1.0716 6.3916 9.4753
6.0297 0.7096 3.4541
6.3916 6.0297 6.4647
1.7522 4.3482 3.6692
2.7531 1.7522 6.6798
4.3482 5.3491 0.6586
5.3491 2.7531 9.6904
0.0685 1.0522 3.9207
0.8696 3.8582 4.7484
0.9331 4.6932 2.4765
1.0009 2.1563 1.0348
1.0522 7.0328 0.9102
1.5347 2.4589 7.1530
1.7385 3.1282 10.1808
2.1563 6.1004 10.0665
2.4081 0.9331 5.4870
2.4589 5.5666 4.1425
2.7480 3.2843 3.3250
3.1282 5.3628 7.1702
3.2431 0.8696 7.7589
3.2843 4.3533 0.3144
3.8170 2.7480 6.3356
3.8582 6.2317 1.7378
3.9731 1.7385 1.1490
4.3533 3.8170 9.3462
4.6424 1.5347 10.1636
4.6932 6.1682 11.5082
4.9450 1.0009 4.0454
5.3628 3.9731 4.1596
5.5666 4.6424 1.1319
6.0490 0.0685 6.9313
6.1004 4.9450 7.0560
6.1682 2.4081 8.4976
6.2317 3.2431 10.7695
7.0328 6.0490 9.9419
```

Largest 6 diffraction maxima, in order of rising 2θ, 10° ≤ 2θ ≤ 90°:
2theta  I_rel
14.5  100.0
19.3  66.9
26.2  72.2
28.1  36.3
33.7  40.8
41.3  40.2

Entry 2:
Diffraction record for LiH13C2N4. The powder X-ray diffraction pattern is simulated, not measured: it uses a structure optimized by DFT (PBE) and Cu Kα (weighted mean of Kα1 and Kα2).

Cell and atoms:
```
LiH13C2N4
1.0
8.6468 0.0000 0.0000
0.0000 8.6468 0.0000
0.0000 0.0000 5.3698
Li H C N
2 26 4 8
Cartesian
2.1617 6.4851 0.0000
6.4851 2.1617 0.0000
0.1973 1.3838 0.7100
0.2098 5.2391 1.1187
0.6087 7.1815 3.2337
0.9157 8.4370 4.2511
1.3838 4.1261 0.7100
1.4653 4.9321 2.1360
2.1617 2.1617 2.5867
2.8581 8.0382 2.1360
2.9397 0.1973 0.7100
3.4077 4.5332 4.2511
3.7147 5.7887 3.2337
4.1136 7.7311 1.1187
4.1261 2.9397 0.7100
4.5207 5.7072 4.6598
4.5332 0.9157 4.2511
4.9321 2.8581 2.1360
5.2391 4.1136 1.1187
5.7072 8.4495 4.6598
5.7887 0.6087 3.2337
6.4851 6.4851 2.7831
7.1815 3.7147 3.2337
7.2631 4.5207 4.6598
7.7311 0.2098 1.1187
8.0382 1.4653 2.1360
8.4370 3.4077 4.2511
8.4495 7.2631 4.6598
2.1617 2.1617 3.6678
2.1617 2.1617 4.9164
6.4851 6.4851 0.4534
6.4851 6.4851 1.7020
0.7192 7.4298 4.2184
1.2170 5.0426 1.1513
3.1064 7.9277 1.1513
3.6043 5.5404 4.2184
5.0426 3.1064 1.1513
5.5404 0.7192 4.2184
7.4298 3.6043 4.2184
7.9277 1.2170 1.1513
```

Largest 6 diffraction maxima, in order of rising 2θ, 10° ≤ 2θ ≤ 90°:
2theta  I_rel
16.5  8.8
28.4  100.0
32.8  32.2
47.0  8.4
47.5  7.0
55.9  8.4